Entry 1:
For Rb3Ca4F12, a GGA-PBE-relaxed structure gives the calculated XRD peak list in this record (Cu Ka).
Kinematic intensities with the Lorentz-polarization factor, no thermal factor.

Most intense lines, 2θ = 5–70°, sorted by position:
2θ 13.9, d = 6.389 Å, rel. 41; 2θ 27.9, d = 3.195 Å, rel. 100; 2θ 34.4, d = 2.608 Å, rel. 32; 2θ 39.9, d = 2.259 Å, rel. 64; 2θ 49.4, d = 1.844 Å, rel. 43; 2θ 57.7, d = 1.597 Å, rel. 37

Structure:
```
19
Lattice="-4.518 4.518 4.518 4.518 -4.518 4.518 4.518 4.518 -4.518" Properties=species:S:1:pos:R:3 pbc="T T T"
Rb 4.518 0.000 0.000
Rb 0.000 4.518 0.000
Rb 0.000 0.000 4.518
Ca 2.259 2.259 -2.259
Ca 2.259 -2.259 2.259
Ca -2.259 2.259 2.259
Ca 2.259 2.259 2.259
F 4.518 -2.060 2.272
F 2.458 2.246 0.000
F 6.578 2.246 0.000
F 2.272 4.518 -2.060
F 2.246 0.000 2.458
F 4.518 2.060 2.272
F 0.000 2.458 2.246
F 2.272 4.518 2.060
F 2.246 0.000 6.578
F -2.060 2.272 4.518
F 2.060 2.272 4.518
F 0.000 6.578 2.246
```

***

Entry 2:
For CeBeCuH6, a GGA-PBE-relaxed structure gives the calculated XRD peak list in this record (Cu Ka).
Kinematic intensities with the Lorentz-polarization factor, no thermal factor.

Most intense lines, 2θ = 5–70°, sorted by position:
2θ 24.2, d = 3.684 Å, rel. 36; 2θ 31.7, d = 2.820 Å, rel. 100; 2θ 42.5, d = 2.127 Å, rel. 29; 2θ 48.3, d = 1.883 Å, rel. 12; 2θ 54.0, d = 1.698 Å, rel. 22; 2θ 60.7, d = 1.526 Å, rel. 20

Structure:
```
9
Lattice="4.254 0.000 0.000 -2.127 3.684 0.000 0.000 0.000 4.383" Properties=species:S:1:pos:R:3 pbc="T T T"
Ce 0.000 0.000 0.000
Be 2.127 1.228 2.191
Cu 0.000 2.456 2.191
H 2.127 0.063 1.020
H 2.127 0.063 3.363
H 1.118 1.811 1.020
H 1.118 1.811 3.363
H 3.136 1.811 1.020
H 3.136 1.811 3.363
```